[1]
This entry pairs a crystal structure of K2Hg3I8 with its computed powder diffractogram. Radiation: Cu Kα X-rays. Structure: a crystal structure in Alexandria, relaxed with GGA-PBE.
Kinematic intensities with the Lorentz-polarization factor, no thermal factor.

Main lines, by angle (2θ = 10–80°):
2θ = 11.35°, d = 7.798 Å, I 100.0
2θ = 15.66°, d = 5.659 Å, I 60.7
2θ = 21.65°, d = 4.104 Å, I 54.3
2θ = 23.39°, d = 3.804 Å, I 57.0
2θ = 24.56°, d = 3.624 Å, I 47.9
2θ = 27.64°, d = 3.227 Å, I 79.0

Cell lengths 10.936, 10.936, 17.516 Å; angles 96.96, 96.96, 45.56 degrees
Sites, in units of the cell vectors:
1 K 0.099 0.334 0.358
2 K 0.334 0.099 0.858
3 K 0.666 0.901 0.142
4 K 0.901 0.666 0.642
5 Hg 0.060 0.940 0.750
6 Hg 0.115 0.276 0.132
7 Hg 0.276 0.115 0.632
8 Hg 0.724 0.885 0.368
9 Hg 0.885 0.724 0.868
10 Hg 0.940 0.060 0.250
11 I 0.033 0.687 0.293
12 I 0.034 0.871 0.602
13 I 0.129 0.966 0.898
14 I 0.211 0.498 0.818
15 I 0.290 0.298 0.046
16 I 0.298 0.290 0.546
17 I 0.313 0.967 0.207
18 I 0.498 0.211 0.318
19 I 0.502 0.789 0.682
20 I 0.687 0.033 0.793
21 I 0.702 0.710 0.454
22 I 0.710 0.702 0.954
23 I 0.789 0.502 0.182
24 I 0.871 0.034 0.102
25 I 0.966 0.129 0.398
26 I 0.967 0.313 0.707

=====

[2]
This entry pairs a crystal structure of KHg5I11 with its computed powder diffractogram. Radiation: Cu Kα X-rays. Structure: a crystal structure in Alexandria, relaxed with GGA-PBE.
Kinematic intensities with the Lorentz-polarization factor, no thermal factor.

Main lines, by angle (2θ = 10–80°):
2θ = 12.78°, d = 6.926 Å, I 52.9
2θ = 16.97°, d = 5.224 Å, I 38.1
2θ = 24.95°, d = 3.568 Å, I 100.0
2θ = 25.33°, d = 3.516 Å, I 39.6
2θ = 26.09°, d = 3.416 Å, I 40.3
2θ = 41.06°, d = 2.198 Å, I 22.6

Cell lengths 11.083, 11.083, 7.563 Å; angles 107.76, 107.76, 103.79 degrees
Sites, in units of the cell vectors:
1 K 0.000 0.000 0.000
2 Hg 0.029 0.328 0.669
3 Hg 0.328 0.029 0.669
4 Hg 0.500 0.500 0.000
5 Hg 0.672 0.971 0.331
6 Hg 0.971 0.672 0.331
7 I 0.000 0.000 0.500
8 I 0.129 0.719 0.709
9 I 0.179 0.423 0.065
10 I 0.281 0.871 0.291
11 I 0.361 0.361 0.600
12 I 0.423 0.179 0.065
13 I 0.577 0.821 0.935
14 I 0.639 0.639 0.400
15 I 0.719 0.129 0.709
16 I 0.821 0.577 0.935
17 I 0.871 0.281 0.291

=====

[3]
This entry pairs a crystal structure of K2Hg2I5 with its computed powder diffractogram. Radiation: Cu Kα X-rays. Structure: a crystal structure in Alexandria, relaxed with GGA-PBE.
Kinematic intensities with the Lorentz-polarization factor, no thermal factor.

Main lines, by angle (2θ = 10–80°):
2θ = 14.65°, d = 6.046 Å, I 100.0
2θ = 15.33°, d = 5.779 Å, I 70.0
2θ = 21.26°, d = 4.178 Å, I 34.0
2θ = 21.77°, d = 4.082 Å, I 41.1
2θ = 29.55°, d = 3.023 Å, I 60.3
2θ = 30.94°, d = 2.890 Å, I 39.7

Cell lengths 13.049, 13.049, 13.049 Å; angles 55.24, 141.02, 142.44 degrees
Sites, in units of the cell vectors:
1 K 0.023 0.102 0.125
2 K 0.023 0.398 0.422
3 K 0.977 0.602 0.578
4 K 0.977 0.898 0.875
5 Hg 0.454 0.767 0.187
6 Hg 0.482 0.482 0.000
7 Hg 0.482 0.982 0.500
8 Hg 0.579 0.267 0.813
9 I 0.343 0.069 0.565
10 I 0.343 0.278 0.774
11 I 0.489 0.224 0.243
12 I 0.489 0.746 0.766
13 I 0.504 0.569 0.226
14 I 0.504 0.778 0.435
15 I 0.751 0.121 0.130
16 I 0.981 0.246 0.757
17 I 0.981 0.724 0.234
18 I 0.991 0.621 0.870

=====

[4]
This entry pairs a crystal structure of KHg2I with its computed powder diffractogram. Radiation: Cu Kα X-rays. Structure: a crystal structure in Alexandria, relaxed with GGA-PBE.
Kinematic intensities with the Lorentz-polarization factor, no thermal factor.

Main lines, by angle (2θ = 10–80°):
2θ = 27.49°, d = 3.245 Å, I 71.6
2θ = 28.23°, d = 3.161 Å, I 28.8
2θ = 30.98°, d = 2.887 Å, I 100.0
2θ = 36.13°, d = 2.486 Å, I 42.9
2θ = 46.47°, d = 1.954 Å, I 29.6
2θ = 61.79°, d = 1.501 Å, I 28.2

Cell lengths 4.973, 4.971, 12.885 Å; angles 90.00, 101.10, 90.00 degrees
Sites, in units of the cell vectors:
1 K 0.180 0.250 0.360
2 K 0.820 0.750 0.640
3 Hg 0.050 0.750 0.100
4 Hg 0.450 0.750 0.901
5 Hg 0.550 0.250 0.099
6 Hg 0.950 0.250 0.900
7 I 0.320 0.250 0.641
8 I 0.680 0.750 0.359

=====

[5]
This entry pairs a crystal structure of KNaHgI2 with its computed powder diffractogram. Radiation: Cu Kα X-rays. Structure: a crystal structure in Alexandria, relaxed with GGA-PBE.
Kinematic intensities with the Lorentz-polarization factor, no thermal factor.

Main lines, by angle (2θ = 10–80°):
2θ = 14.38°, d = 6.157 Å, I 27.7
2θ = 25.67°, d = 3.470 Å, I 100.0
2θ = 29.00°, d = 3.079 Å, I 44.9
2θ = 31.12°, d = 2.873 Å, I 18.7
2θ = 43.06°, d = 2.101 Å, I 30.3
2θ = 49.42°, d = 1.844 Å, I 33.3

Cell lengths 6.157, 6.157, 5.747 Å; angles 90.00, 90.00, 90.00 degrees
Sites, in units of the cell vectors:
1 K 0.000 0.000 0.000
2 Na 0.500 0.500 0.500
3 Hg 0.500 0.500 0.000
4 I 0.000 0.500 0.500
5 I 0.500 0.000 0.500

=====

[6]
This entry pairs a crystal structure of KHgI3O with its computed powder diffractogram. Radiation: Cu Kα X-rays. Structure: a crystal structure in Alexandria, relaxed with GGA-PBE.
Kinematic intensities with the Lorentz-polarization factor, no thermal factor.

Main lines, by angle (2θ = 10–80°):
2θ = 11.67°, d = 7.580 Å, I 62.8
2θ = 13.36°, d = 6.628 Å, I 71.0
2θ = 14.75°, d = 6.005 Å, I 71.7
2θ = 23.29°, d = 3.819 Å, I 100.0
2θ = 25.02°, d = 3.559 Å, I 56.0
2θ = 26.26°, d = 3.393 Å, I 62.6

Cell lengths 7.900, 9.239, 13.256 Å; angles 90.00, 90.00, 90.00 degrees
Sites, in units of the cell vectors:
1 K 0.078 0.181 0.000
2 K 0.422 0.681 0.500
3 K 0.578 0.319 0.000
4 K 0.922 0.819 0.500
5 Hg 0.101 0.632 0.183
6 Hg 0.399 0.132 0.683
7 Hg 0.601 0.868 0.183
8 Hg 0.899 0.368 0.683
9 I 0.027 0.388 0.478
10 I 0.226 0.872 0.709
11 I 0.239 0.885 0.271
12 I 0.261 0.385 0.771
13 I 0.274 0.372 0.209
14 I 0.473 0.888 0.978
15 I 0.527 0.112 0.478
16 I 0.726 0.628 0.709
17 I 0.739 0.615 0.271
18 I 0.761 0.115 0.771
19 I 0.774 0.128 0.209
20 I 0.973 0.612 0.978
21 O 0.112 0.581 0.480
22 O 0.388 0.081 0.980
23 O 0.612 0.919 0.480
24 O 0.888 0.419 0.980

=====

[7]
This entry pairs a crystal structure of K2HgPdI6 with its computed powder diffractogram. Radiation: Cu Kα X-rays. Structure: a crystal structure in Alexandria, relaxed with GGA-PBE.
Kinematic intensities with the Lorentz-polarization factor, no thermal factor.

Main lines, by angle (2θ = 10–80°):
2θ = 15.05°, d = 5.888 Å, I 100.0
2θ = 15.25°, d = 5.810 Å, I 37.1
2θ = 21.91°, d = 4.057 Å, I 39.4
2θ = 29.76°, d = 3.002 Å, I 28.1
2θ = 30.36°, d = 2.944 Å, I 80.0
2θ = 44.64°, d = 2.030 Å, I 37.2

Cell lengths 7.485, 7.568, 9.033 Å; angles 70.67, 70.11, 65.33 degrees
Sites, in units of the cell vectors:
1 K 0.000 0.000 0.000
2 K 0.405 0.388 0.630
3 Hg 0.201 0.196 0.315
4 Pd 0.702 0.695 0.815
5 I 0.413 0.863 0.653
6 I 0.434 0.421 0.203
7 I 0.526 0.986 0.975
8 I 0.878 0.404 0.656
9 I 0.968 0.969 0.428
10 I 0.990 0.527 0.978

=====

[8]
This entry pairs a crystal structure of K2HgSbI6 with its computed powder diffractogram. Radiation: Cu Kα X-rays. Structure: a crystal structure in Alexandria, relaxed with GGA-PBE.
Kinematic intensities with the Lorentz-polarization factor, no thermal factor.

Main lines, by angle (2θ = 10–80°):
2θ = 14.54°, d = 6.092 Å, I 100.0
2θ = 24.27°, d = 3.668 Å, I 63.2
2θ = 29.28°, d = 3.050 Å, I 49.6
2θ = 29.41°, d = 3.037 Å, I 24.3
2θ = 32.44°, d = 2.760 Å, I 58.4
2θ = 32.54°, d = 2.751 Å, I 27.5

Cell lengths 8.478, 8.498, 8.736 Å; angles 90.25, 118.78, 119.89 degrees
Sites, in units of the cell vectors:
1 K 0.000 0.000 0.000
2 K 0.012 0.506 0.515
3 Hg 0.584 0.793 0.375
4 Sb 0.589 0.295 0.882
5 I 0.074 0.448 0.132
6 I 0.105 0.138 0.643
7 I 0.507 0.060 0.132
8 I 0.509 0.968 0.642
9 I 0.679 0.541 0.644
10 I 0.684 0.626 0.134

=====

[9]
This entry pairs a crystal structure of KTlHg2I6 with its computed powder diffractogram. Radiation: Cu Kα X-rays. Structure: a crystal structure in Alexandria, relaxed with GGA-PBE.
Kinematic intensities with the Lorentz-polarization factor, no thermal factor.

Main lines, by angle (2θ = 10–80°):
2θ = 18.12°, d = 4.895 Å, I 100.0
2θ = 21.33°, d = 4.165 Å, I 45.4
2θ = 21.55°, d = 4.124 Å, I 50.2
2θ = 32.94°, d = 2.719 Å, I 35.1
2θ = 33.65°, d = 2.663 Å, I 44.1
2θ = 38.40°, d = 2.344 Å, I 47.6

Cell lengths 10.854, 10.854, 8.626 Å; angles 101.93, 101.93, 83.18 degrees
Sites, in units of the cell vectors:
1 K 0.168 0.832 0.750
2 K 0.832 0.168 0.250
3 Tl 0.397 0.603 0.250
4 Tl 0.603 0.397 0.750
5 Hg 0.113 0.312 0.753
6 Hg 0.312 0.113 0.253
7 Hg 0.688 0.887 0.747
8 Hg 0.887 0.688 0.247
9 I 0.090 0.167 0.992
10 I 0.125 0.596 0.392
11 I 0.167 0.090 0.492
12 I 0.295 0.487 0.839
13 I 0.404 0.875 0.108
14 I 0.487 0.295 0.339
15 I 0.513 0.705 0.661
16 I 0.596 0.125 0.892
17 I 0.705 0.513 0.161
18 I 0.833 0.910 0.508
19 I 0.875 0.404 0.608
20 I 0.910 0.833 0.008

=====

[10]
This entry pairs a crystal structure of KZrHgI6 with its computed powder diffractogram. Radiation: Cu Kα X-rays. Structure: a crystal structure in Alexandria, relaxed with GGA-PBE.
Kinematic intensities with the Lorentz-polarization factor, no thermal factor.

Main lines, by angle (2θ = 10–80°):
2θ = 11.96°, d = 7.398 Å, I 100.0
2θ = 13.89°, d = 6.374 Å, I 90.0
2θ = 26.58°, d = 3.353 Å, I 76.4
2θ = 27.06°, d = 3.296 Å, I 58.7
2θ = 27.42°, d = 3.253 Å, I 81.0
2θ = 28.01°, d = 3.186 Å, I 57.3

Cell lengths 7.940, 7.994, 8.079 Å; angles 67.94, 67.45, 84.47 degrees
Sites, in units of the cell vectors:
1 K 0.000 0.000 0.000
2 Zr 0.074 0.373 0.335
3 Hg 0.547 0.384 0.809
4 I 0.286 0.333 0.566
5 I 0.290 0.102 0.202
6 I 0.335 0.649 0.014
7 I 0.803 0.100 0.654
8 I 0.863 0.405 0.107
9 I 0.868 0.646 0.471

=====

[11]
This entry pairs a crystal structure of La2HgI with its computed powder diffractogram. Radiation: Cu Kα X-rays. Structure: a crystal structure in Alexandria, relaxed with GGA-PBE.
Kinematic intensities with the Lorentz-polarization factor, no thermal factor.

Main lines, by angle (2θ = 10–80°):
2θ = 25.86°, d = 3.445 Å, I 86.6
2θ = 28.51°, d = 3.131 Å, I 100.0
2θ = 31.87°, d = 2.808 Å, I 60.9
2θ = 40.11°, d = 2.248 Å, I 41.5
2θ = 41.39°, d = 2.181 Å, I 72.8
2θ = 61.31°, d = 1.512 Å, I 42.2

Cell lengths 4.363, 4.363, 16.782 Å; angles 90.00, 90.00, 120.00 degrees
Sites, in units of the cell vectors:
1 La 0.333 0.667 0.117
2 La 0.333 0.667 0.383
3 La 0.667 0.333 0.617
4 La 0.667 0.333 0.883
5 Hg 0.000 0.000 0.000
6 Hg 0.000 0.000 0.500
7 I 0.333 0.667 0.750
8 I 0.667 0.333 0.250

=====

[12]
This entry pairs a crystal structure of La4Hg2I3 with its computed powder diffractogram. Radiation: Cu Kα X-rays. Structure: a crystal structure in Alexandria, relaxed with GGA-PBE.
Kinematic intensities with the Lorentz-polarization factor, no thermal factor.

Main lines, by angle (2θ = 10–80°):
2θ = 26.78°, d = 3.329 Å, I 100.0
2θ = 29.33°, d = 3.045 Å, I 24.9
2θ = 35.70°, d = 2.515 Å, I 20.0
2θ = 39.35°, d = 2.290 Å, I 31.6
2θ = 40.64°, d = 2.220 Å, I 42.6
2θ = 62.60°, d = 1.484 Å, I 22.6

Cell lengths 4.440, 4.440, 19.951 Å; angles 90.00, 90.00, 120.00 degrees
Sites, in units of the cell vectors:
1 La 0.000 0.000 0.201
2 La 0.000 0.000 0.799
3 La 0.333 0.667 0.394
4 La 0.667 0.333 0.606
5 Hg 0.333 0.667 0.702
6 Hg 0.667 0.333 0.298
7 I 0.000 0.000 0.500
8 I 0.333 0.667 0.097
9 I 0.667 0.333 0.903